# Li2V3WO8
Computed powder diffraction line list, Cu Kα, 1.54184 Å. Input: a PBE+U-relaxed structure.
Intensities are scaled so that the largest is 100.

Top 10 peaks for 5° ≤ 2θ ≤ 70°, in order of falling intensity:
2θ 17.96, d 4.939, I 100, (1 1 0); 2θ 17.84, d 4.972, I 51, (2 0 -1); 2θ 41.52, d 2.175, I 39, (2 2 -2); 2θ 20.42, d 4.350, I 20, (1 1 -1); 2θ 33.93, d 2.642, I 20, (1 1 -2); 2θ 34.41, d 2.606, I 18, (0 2 1); 2θ 60.82, d 1.523, I 18, (2 2 2); 2θ 42.81, d 2.112, I 18, (4 0 0); 2θ 34.22, d 2.621, I 17, (3 1 -2); 2θ 35.11, d 2.556, I 17, (3 1 0)

Cell and atoms:
```
data_Li2V3WO8
_chemical_formula_sum 'Li4 V6 W2 O16'
_symmetry_space_group_name_H-M 'C 1 2/m 1'
_symmetry_Int_Tables_number 12
_cell_length_a 10.415
_cell_length_b 6.087
_cell_length_c 6.220
_cell_angle_alpha 90.00
_cell_angle_beta 125.78
_cell_angle_gamma 90.00
loop_
_symmetry_equiv_pos_as_xyz
'x,y,z'
'-x,-y,-z'
'-x,y,-z'
'x,-y,z'
'x+1/2,y+1/2,z'
'-x+1/2,-y+1/2,-z'
'-x+1/2,y+1/2,-z'
'x+1/2,-y+1/2,z'
loop_
_atom_site_label
_atom_site_type_symbol
_atom_site_fract_x
_atom_site_fract_y
_atom_site_fract_z
_atom_site_occupancy
Li1 Li 0.127 0.000 0.390 1
V1 V 0.000 0.500 0.000 1
V2 V 0.250 0.250 0.000 1
W1 W 0.000 0.500 0.500 1
O1 O 0.007 0.276 0.754 1
O2 O 0.233 0.500 0.746 1
O3 O 0.239 0.500 0.204 1
```